This entry pairs a crystal structure of AcAuC2O8 with its calculated X-ray powder pattern. Radiation: Cu Kα. Structure: a structure optimized by DFT (GGA-PBE).

Most intense lines, 15 to 90 degrees two-theta, low angle first:
2θ/deg, I_rel
22.88, 100
29.26, 80
35.63, 51
42.76, 31
46.74, 17
47.40, 25
48.23, 47
56.84, 22
60.13, 19
73.03, 14

Structure:
Lattice parameters (Å, degrees): 6.3937 6.3937 6.3937 46.43 46.43 46.43
Positions (direct):
1 Ac 0.0000 0.0000 0.0000
2 Au 0.5000 0.5000 0.5000
3 C 0.2185 0.2185 0.2185
4 C 0.7815 0.7815 0.7815
5 O 0.0525 0.5949 0.5949
6 O 0.1436 0.1436 0.1436
7 O 0.4051 0.4051 0.9475
8 O 0.4051 0.9475 0.4051
9 O 0.5949 0.0525 0.5949
10 O 0.5949 0.5949 0.0525
11 O 0.8564 0.8564 0.8564
12 O 0.9475 0.4051 0.4051

***

This entry pairs a crystal structure of PrTm with its calculated X-ray powder pattern. Radiation: Cu Kα. Structure: a structure optimized by DFT (GGA-PBE).

Most intense lines, 15 to 90 degrees two-theta, low angle first:
2θ/deg, I_rel
30.36, 100
35.20, 51
36.32, 2
50.64, 36
60.20, 42
63.17, 12
69.58, 1
74.43, 6
82.46, 17
85.10, 16

Structure:
Lattice parameters (Å, degrees): 3.6039 3.6039 10.2046 90.00 90.00 90.00
Positions (direct):
1 Pr 0.2500 0.2500 0.1320
2 Pr 0.7500 0.7500 0.8680
3 Tm 0.2500 0.2500 0.6173
4 Tm 0.7500 0.7500 0.3827

***

This entry pairs a crystal structure of ScTiPd14 with its calculated X-ray powder pattern. Radiation: Cu Kα. Structure: a structure optimized by DFT (GGA-PBE).

Most intense lines, 15 to 90 degrees two-theta, low angle first:
2θ/deg, I_rel
22.37, 1
25.10, 2
39.40, 100
45.66, 33
46.13, 16
66.55, 10
66.92, 20
80.17, 24
80.86, 12
84.78, 10

Structure:
Lattice parameters (Å, degrees): 5.6202 5.6202 7.8712 90.00 90.00 90.00
Positions (direct):
1 Sc 0.0000 0.0000 0.0000
2 Ti 0.5000 0.5000 0.0000
3 Pd 0.0000 0.0000 0.5000
4 Pd 0.0000 0.5000 0.0000
5 Pd 0.0000 0.5000 0.5000
6 Pd 0.2530 0.2530 0.2458
7 Pd 0.2530 0.2530 0.7542
8 Pd 0.2530 0.7470 0.2458
9 Pd 0.2530 0.7470 0.7542
10 Pd 0.5000 0.0000 0.0000
11 Pd 0.5000 0.0000 0.5000
12 Pd 0.5000 0.5000 0.5000
13 Pd 0.7470 0.2530 0.2458
14 Pd 0.7470 0.2530 0.7542
15 Pd 0.7470 0.7470 0.2458
16 Pd 0.7470 0.7470 0.7542

***

This entry pairs a crystal structure of MgInO3 with its calculated X-ray powder pattern. Radiation: Cu Kα. Structure: a structure optimized by DFT (GGA-PBE).

Most intense lines, 15 to 90 degrees two-theta, low angle first:
2θ/deg, I_rel
26.24, 100
33.81, 35
43.30, 26
49.90, 44
56.03, 24
58.43, 10
60.49, 15
77.26, 9
79.32, 8
82.14, 9

Structure:
Lattice parameters (Å, degrees): 5.3022 5.3022 5.0460 90.00 90.00 120.00
Positions (direct):
1 Mg 0.0000 0.0000 0.2500
2 Mg 0.0000 0.0000 0.7500
3 In 0.3333 0.6667 0.2500
4 In 0.6667 0.3333 0.7500
5 O 0.0000 0.3098 0.5000
6 O 0.0000 0.6902 0.0000
7 O 0.3098 0.0000 0.5000
8 O 0.3098 0.3098 0.0000
9 O 0.6902 0.0000 0.0000
10 O 0.6902 0.6902 0.5000

***

This entry pairs a crystal structure of Sm2ZnNi4As3 with its calculated X-ray powder pattern. Radiation: Cu Kα. Structure: a structure optimized by DFT (GGA-PBE).

Most intense lines, 15 to 90 degrees two-theta, low angle first:
2θ/deg, I_rel
30.95, 19
35.20, 67
36.10, 100
44.33, 58
51.79, 28
57.83, 32
64.49, 18
65.74, 12
70.50, 21
76.19, 22

Structure:
Lattice parameters (Å, degrees): 4.0867 4.0867 9.7863 90.00 90.00 90.00
Positions (direct):
1 Sm 0.0000 0.5000 0.2449
2 Sm 0.5000 0.0000 0.7551
3 Zn 0.0000 0.0000 0.5000
4 Ni 0.0000 0.0000 0.0000
5 Ni 0.0000 0.5000 0.6295
6 Ni 0.5000 0.0000 0.3705
7 Ni 0.5000 0.5000 0.0000
8 As 0.0000 0.5000 0.8676
9 As 0.5000 0.0000 0.1324
10 As 0.5000 0.5000 0.5000

***

This entry pairs a crystal structure of NdAl10Fe2 with its calculated X-ray powder pattern. Radiation: Cu Kα. Structure: a structure optimized by DFT (GGA-PBE).

Most intense lines, 15 to 90 degrees two-theta, low angle first:
2θ/deg, I_rel
16.42, 31
23.71, 24
28.01, 33
28.29, 34
34.58, 40
37.09, 35
39.89, 30
40.17, 100
40.73, 88
72.99, 26

Structure:
Lattice parameters (Å, degrees): 6.7861 6.7861 9.0399 90.00 90.00 97.16
Positions (direct):
1 Nd 0.1230 0.8770 0.7500
2 Nd 0.8770 0.1230 0.2500
3 Al 0.1325 0.4118 0.7500
4 Al 0.1618 0.8382 0.0979
5 Al 0.1618 0.8382 0.4021
6 Al 0.2212 0.4791 0.2500
7 Al 0.2286 0.2286 0.0000
8 Al 0.2286 0.2286 0.5000
9 Al 0.3761 0.6239 0.5505
10 Al 0.3761 0.6239 0.9495
11 Al 0.4118 0.1325 0.2500
12 Al 0.4791 0.2212 0.7500
13 Al 0.5209 0.7788 0.2500
14 Al 0.5882 0.8675 0.7500
15 Al 0.6239 0.3761 0.0505
16 Al 0.6239 0.3761 0.4495
17 Al 0.7714 0.7714 0.0000
18 Al 0.7714 0.7714 0.5000
19 Al 0.7788 0.5209 0.7500
20 Al 0.8382 0.1618 0.5979
21 Al 0.8382 0.1618 0.9021
22 Al 0.8675 0.5882 0.2500
23 Fe 0.0000 0.5000 0.0000
24 Fe 0.0000 0.5000 0.5000
25 Fe 0.5000 0.0000 0.0000
26 Fe 0.5000 0.0000 0.5000

***

This entry pairs a crystal structure of BaAc12Ge6 with its calculated X-ray powder pattern. Radiation: Cu Kα. Structure: a structure optimized by DFT (GGA-PBE).

Most intense lines, 15 to 90 degrees two-theta, low angle first:
2θ/deg, I_rel
25.33, 45
26.23, 100
29.28, 16
30.66, 89
31.43, 26
31.75, 36
36.56, 24
38.30, 33
50.61, 24
54.84, 17

Structure:
Lattice parameters (Å, degrees): 9.4066 9.4066 9.4066 103.23 103.23 103.23
Positions (direct):
1 Ba 0.0000 0.0000 0.0000
2 Ac 0.1268 0.5000 0.8732
3 Ac 0.1268 0.8732 0.5000
4 Ac 0.1807 0.4532 0.4532
5 Ac 0.4532 0.1807 0.4532
6 Ac 0.4532 0.4532 0.1807
7 Ac 0.5000 0.1268 0.8732
8 Ac 0.5000 0.8732 0.1268
9 Ac 0.5468 0.5468 0.8193
10 Ac 0.5468 0.8193 0.5468
11 Ac 0.8193 0.5468 0.5468
12 Ac 0.8732 0.1268 0.5000
13 Ac 0.8732 0.5000 0.1268
14 Ge 0.2438 0.2438 0.6875
15 Ge 0.2438 0.6875 0.2438
16 Ge 0.3125 0.7562 0.7562
17 Ge 0.6875 0.2438 0.2438
18 Ge 0.7562 0.3125 0.7562
19 Ge 0.7562 0.7562 0.3125